(1)
Simulated powder diffractogram
Compound: Tb5Pr12Nd
Radiation: Cu Ka
Structure: a structure optimized by DFT (PBE)
Intensities are scaled so that the largest is 100.

Largest 6 diffraction maxima, most intense first, 5° ≤ 2θ ≤ 70°:
Position (°2θ)	I (rel.)
29.80	100
34.54	51
49.65	36
58.96	29
59.06	14
61.89	12

Structure:
```
18
Lattice="7.7785 -7.7920 0.0000 7.7785 7.7920 0.0000 0.0000 0.0000 5.1989" Properties=species:S:1:pos:R:3 pbc="T T T"
Tb 0.0000 0.0000 0.0000
Tb 7.7785 5.1920 2.5995
Tb 7.7785 2.6080 0.0000
Tb 7.7785 -2.6080 0.0000
Tb 7.7785 -5.1920 2.5995
Pr 5.2193 5.1957 0.0000
Pr 2.5535 0.0000 2.5995
Pr 5.2059 2.6038 2.5995
Pr 10.3377 5.1957 0.0000
Pr 5.1926 0.0000 0.0000
Pr 10.3511 2.6038 2.5995
Pr 5.2059 -2.6038 2.5995
Pr 10.3645 0.0000 0.0000
Pr 5.2193 -5.1957 0.0000
Pr 10.3511 -2.6038 2.5995
Pr 13.0035 0.0000 2.5995
Pr 10.3377 -5.1957 0.0000
Nd 7.7785 0.0000 2.5995
```

=====

(2)
Simulated powder diffractogram
Compound: Ba3NaSr3
Radiation: Cu Ka
Structure: a structure optimized by DFT (PBE)
Intensities are scaled so that the largest is 100.

Largest 12 diffraction maxima, most intense first, 5° ≤ 2θ ≤ 70°:
Position (°2θ)	I (rel.)
25.98	100
26.15	63
45.87	46
25.85	32
36.97	25
46.13	13
45.57	13
53.44	13
37.44	12
60.10	11
15.28	8
53.80	7

Structure:
```
14
Lattice="10.6366 0.0000 0.0000 0.0000 6.8622 0.0000 -4.4650 0.0000 10.8993" Properties=species:S:1:pos:R:3 pbc="T T T"
Ba 0.3387 1.7156 1.3047
Ba -1.7818 5.1467 6.5556
Ba 1.5139 1.7156 5.7974
Ba 4.6577 5.1467 5.1019
Ba 7.9535 1.7156 4.3437
Ba 5.8329 5.1467 9.5946
Na 0.7932 5.1467 3.4654
Na 5.3785 1.7156 7.4339
Sr -1.3710 1.7156 8.9866
Sr 3.4979 5.1467 0.4745
Sr 1.8378 5.1467 8.4004
Sr 4.3339 1.7156 2.4989
Sr 2.6738 1.7156 10.4248
Sr 7.5426 5.1467 1.9127
```

=====

(3)
Simulated powder diffractogram
Compound: Pm3Sm12Mg
Radiation: Cu Ka
Structure: a structure optimized by DFT (PBE)
Intensities are scaled so that the largest is 100.

Largest 12 diffraction maxima, most intense first, 5° ≤ 2θ ≤ 70°:
Position (°2θ)	I (rel.)
30.32	100
35.15	51
50.56	36
60.14	29
60.02	14
63.07	12
27.97	1
17.92	1
17.37	1
8.65	1
19.44	1
24.66	1

Structure:
```
16
Lattice="5.1018 0.0000 0.0000 0.0000 5.1018 0.0000 0.0000 0.0000 20.4562" Properties=species:S:1:pos:R:3 pbc="T T T"
Pm 0.0000 0.0000 0.0000
Pm 0.0000 0.0000 5.1719
Pm 0.0000 0.0000 15.2843
Sm 0.0000 2.5509 2.5850
Sm 0.0000 2.5509 7.7344
Sm 0.0000 2.5509 12.7218
Sm 0.0000 2.5509 17.8712
Sm 2.5509 0.0000 2.5850
Sm 2.5509 0.0000 7.7344
Sm 2.5509 0.0000 12.7218
Sm 2.5509 0.0000 17.8712
Sm 2.5509 2.5509 0.0000
Sm 2.5509 2.5509 5.2156
Sm 2.5509 2.5509 10.2281
Sm 2.5509 2.5509 15.2406
Mg 0.0000 0.0000 10.2281
```